(1)
Computed PXRD pattern
Compound: TbHoGa2Ir4
Radiation: CuKα
Structure: the GGA-PBE geometry in OQMD
No peak broadening, texture or thermal motion is included.

Most intense lines, 2θ from 15° to 90°, in order of rising 2θ:
- 2θ = 23.7°, rel. 30
- 2θ = 38.4°, rel. 100
- 2θ = 41.7°, rel. 69
- 2θ = 57.9°, rel. 31
- 2θ = 73.8°, rel. 30
- 2θ = 77.2°, rel. 13

Crystal structure
a = 4.3357 Å, b = 4.3357 Å, c = 9.0208 Å
α = 90.00°, β = 90.00°, γ = 120.00°
Positions (direct):
Tb1 0.0000 0.0000 0.0000
Ho1 0.3333 0.6667 0.5000
Ga1 0.6667 0.3333 0.2519
Ga2 0.6667 0.3333 0.7481
Ir1 0.0000 0.0000 0.3359
Ir2 0.0000 0.0000 0.6641
Ir3 0.3333 0.6667 0.1716
Ir4 0.3333 0.6667 0.8284

---

(2)
Computed PXRD pattern
Compound: HoZrGa4Ir2
Radiation: CuKα
Structure: the GGA-PBE geometry in OQMD
No peak broadening, texture or thermal motion is included.

Most intense lines, 2θ from 15° to 90°, in order of rising 2θ:
- 2θ = 26.7°, rel. 28
- 2θ = 35.3°, rel. 80
- 2θ = 36.9°, rel. 100
- 2θ = 38.5°, rel. 45
- 2θ = 42.5°, rel. 44
- 2θ = 43.9°, rel. 39

Crystal structure
a = 4.2518 Å, b = 6.6885 Å, c = 5.4171 Å
α = 90.00°, β = 113.02°, γ = 90.00°
Positions (direct):
Ho1 0.0000 0.0000 0.0000
Zr1 0.1631 0.5000 0.3272
Ga1 0.4491 0.3051 0.8983
Ga2 0.4491 0.6949 0.8983
Ga3 0.7137 0.2022 0.4277
Ga4 0.7137 0.7978 0.4277
Ir1 0.2890 0.0000 0.5785
Ir2 0.8751 0.5000 0.7500

---

(3)
Computed PXRD pattern
Compound: HoLuGa2
Radiation: CuKα
Structure: the GGA-PBE geometry in OQMD
No peak broadening, texture or thermal motion is included.

Most intense lines, 2θ from 15° to 90°, in order of rising 2θ:
- 2θ = 25.3°, rel. 19
- 2θ = 36.0°, rel. 100
- 2θ = 51.8°, rel. 12
- 2θ = 64.7°, rel. 24
- 2θ = 64.9°, rel. 12
- 2θ = 76.4°, rel. 9

Crystal structure
a = 7.0352 Å, b = 9.9914 Å, c = 4.9877 Å
α = 90.00°, β = 90.00°, γ = 90.00°
Positions (direct):
Ho1 0.0000 0.1249 0.2500
Ho2 0.0000 0.8751 0.7500
Ho3 0.5000 0.3751 0.7500
Ho4 0.5000 0.6249 0.2500
Lu1 0.0000 0.3741 0.7500
Lu2 0.0000 0.6259 0.2500
Lu3 0.5000 0.1259 0.2500
Lu4 0.5000 0.8741 0.7500
Ga1 0.2454 0.3758 0.2500
Ga2 0.2454 0.6242 0.7500
Ga3 0.2546 0.1242 0.7500
Ga4 0.2546 0.8758 0.2500
Ga5 0.7454 0.1242 0.7500
Ga6 0.7454 0.8758 0.2500
Ga7 0.7546 0.3758 0.2500
Ga8 0.7546 0.6242 0.7500